# AcPr2SnN4
Computed powder XRD pattern, copper Kα. Input: DFT lattice parameters and positions (GGA-PBE).
No peak broadening, texture or thermal motion is included.

Principal peaks in the range 10 to 90 degrees two-theta, in order of rising 2θ:
Position (°2θ)  I/Imax
25.72  27
28.54  100
28.83  32
32.97  22
35.29  48
40.97  18
44.00  9
46.19  15
48.32  13
48.90  14
57.25  10
65.17  9

Cell and atoms:
Unit cell a=6.473 b=6.473 c=12.535 alpha=90.00 beta=90.00 gamma=146.17
Sites, in units of the cell vectors:
Ac1 0.106 0.894 0.750
Ac2 0.894 0.106 0.250
Pr1 0.371 0.629 0.539
Pr2 0.371 0.629 0.961
Pr3 0.629 0.371 0.039
Pr4 0.629 0.371 0.461
Sn1 0.159 0.841 0.250
Sn2 0.841 0.159 0.750
N1 0.000 0.000 0.000
N2 0.000 0.000 0.500
N3 0.274 0.726 0.126
N4 0.274 0.726 0.374
N5 0.431 0.569 0.750
N6 0.569 0.431 0.250
N7 0.726 0.274 0.626
N8 0.726 0.274 0.874